(1)
Diffraction record for CeBiN. The PXRD pattern is computed, not measured: it uses DFT lattice parameters and positions (PBE) and Cu Kα X-rays.
Intensities are scaled so that the largest is 100.

Structural model:
```
CeBiN
1.0
4.1896 0.0000 0.0000
0.0000 7.9036 0.0000
0.0000 0.0000 4.1897
Ce Bi N
2 2 2
Direct
0.0000 0.1274 0.0000
0.5000 0.8726 0.5000
0.0000 0.5764 0.9987
0.5000 0.4236 0.4987
0.0000 0.0000 0.5001
0.5000 0.0000 0.0001
```

Peak list (6 most intense, 15° ≤ 2θ ≤ 90°, most intense first)
2θ/deg	Rel. int.
31.11	100.0
30.17	62.5
54.18	42.7
43.19	27.8
87.50	13.7
71.17	11.4

=====

(2)
Diffraction record for TaSe2Br5. The PXRD pattern is computed, not measured: it uses DFT lattice parameters and positions (PBE) and Cu Kα X-rays.
Intensities are scaled so that the largest is 100.

Structural model:
```
TaSe2Br5
1.0
7.5481 0.0000 0.0000
3.5831 6.7914 0.0000
3.4836 -1.7092 7.2270
Ta Se Br
1 2 5
Direct
0.0000 0.0000 0.0000
0.1673 0.4152 0.4920
0.8343 0.5616 0.4992
0.0120 0.3116 0.9940
0.2024 0.9050 0.6545
0.3105 0.6934 0.0046
0.6761 0.0000 0.0017
0.7987 0.0918 0.3457
```

Peak list (6 most intense, 15° ≤ 2θ ≤ 90°, most intense first)
2θ/deg	Rel. int.
15.92	100.0
15.06	51.3
24.64	44.5
23.21	36.7
26.80	35.6
36.66	31.2

=====

(3)
Diffraction record for VAuS2. The PXRD pattern is computed, not measured: it uses DFT lattice parameters and positions (PBE) and Cu Kα X-rays.
Intensities are scaled so that the largest is 100.

Structural model:
```
VAuS2
1.0
7.6149 -1.6051 0.0000
7.6149 1.6051 0.0000
-1.4028 0.0000 5.6377
V Au S
2 2 4
Direct
0.2476 0.2476 0.2965
0.7524 0.7524 0.7035
0.7391 0.2389 0.2444
0.7611 0.2609 0.7556
0.1497 0.1817 0.8710
0.3698 0.3429 0.6492
0.6571 0.6302 0.3508
0.8183 0.8503 0.1290
```

Peak list (6 most intense, 15° ≤ 2θ ≤ 90°, most intense first)
2θ/deg	Rel. int.
28.45	100.0
24.09	68.7
33.31	59.7
31.74	59.4
31.11	45.0
35.05	39.9